Diffraction record for ReS. The PXRD pattern is computed, not measured: it uses a structure optimized by DFT (GGA-PBE) and Cu Kα (λ = 1.5418 Å).
Peak positions follow from Bragg's law for the DFT cell and can differ from measured ones.

Structural model:
Cell lengths 2.993, 6.587, 4.303 Å; angles 90.00, 90.00, 90.00 degrees
Space group Pmn2_1 (No. 31)
Symmetry-distinct sites (fractional):
Re1 0.000 0.048 0.000
S1 0.000 0.721 0.283

Most intense lines, 5° ≤ 2θ ≤ 70°, most intense first:
h k l, 2θ/deg, I (rel.)
0 1 0, 13.44, 100
1 1 1, 39.13, 33
1 0 1, 36.57, 21
1 2 1, 46.09, 17
0 1 2, 44.29, 12
0 2 0, 27.08, 10
0 1 1, 24.71, 9
0 2 1, 34.29, 8
0 2 2, 50.68, 8
1 3 0, 51.63, 7
0 3 1, 46.43, 7
1 2 0, 40.74, 6

---

Diffraction record for K4Ho3InO8. The PXRD pattern is computed, not measured: it uses a structure optimized by DFT (GGA-PBE) and Cu Kα (λ = 1.5418 Å).
Peak positions follow from Bragg's law for the DFT cell and can differ from measured ones.

Structural model:
Cell lengths 6.8714, 6.8714, 18.7590 Å; angles 90.00, 90.00, 120.00 degrees
Space group R-3m (No. 166, hexagonal axes)
Symmetry-distinct sites (fractional):
K1 0.0000 0.0000 0.0000
K2 0.0000 0.5000 0.0000
Ho1 0.0000 0.5000 0.5000
In1 0.0000 0.0000 0.5000
O1 0.0000 0.0000 0.2279
O2 0.0010 0.5005 0.2292

Most intense lines, 5° ≤ 2θ ≤ 70°, most intense first:
h k l, 2θ/deg, I (rel.)
0 2 4, 35.74, 100
0 0 3, 14.16, 97
2 0 2, 31.55, 73
0 0 6, 28.55, 35
0 2 1, 30.42, 35
2 0 8, 49.49, 34
2 2 0, 53.33, 31
2 2 6, 61.60, 24
0 2 7, 45.55, 20
2 2 3, 55.47, 18
0 2 10, 58.13, 17
4 0 4, 65.86, 15

---

Diffraction record for Na3Mn2H9. The PXRD pattern is computed, not measured: it uses a structure optimized by DFT (GGA-PBE) and Cu Kα (λ = 1.5418 Å).
Peak positions follow from Bragg's law for the DFT cell and can differ from measured ones.

Structural model:
Cell lengths 8.6805, 8.6805, 12.7835 Å; angles 90.00, 90.00, 120.00 degrees
Space group R-3c (No. 167, hexagonal axes)
Symmetry-distinct sites (fractional):
Na1 0.0000 0.3431 0.2500
Mn1 0.0000 0.0000 0.1707
H1 0.0000 0.1619 0.7500
H2 0.0008 0.1585 0.1035

Most intense lines, 5° ≤ 2θ ≤ 70°, most intense first:
h k l, 2θ/deg, I (rel.)
3 0 0, 35.84, 100
1 1 0, 20.46, 86
0 1 2, 18.22, 65
1 1 6, 47.54, 55
1 1 3, 29.37, 38
2 0 2, 27.53, 28
2 2 6, 60.94, 26
1 2 2, 34.55, 26
3 3 0, 64.40, 15
2 2 3, 46.99, 14
1 0 4, 30.39, 13
2 2 0, 41.62, 10